Entry 1:
Computed X-ray powder pattern
Compound: PmAgSO
Radiation: Cu Kα
Structure: a DFT-relaxed cell (PBE, OQMD)
Neutral-atom scattering factors, no anomalous dispersion.

Largest 12 diffraction maxima, by angle, 2θ = 5–70°:
19.72°, intensity 20.9, hkl 2 0 0; 24.39°, intensity 33.6, hkl 1 1 1; 29.77°, intensity 30.9, hkl 3 0 0; 29.91°, intensity 100.0, hkl 2 1 1; 33.26°, intensity 94.0, hkl 1 2 0; 37.49°, intensity 24.0, hkl 3 1 1; 37.61°, intensity 54.5, hkl 2 2 0; 45.43°, intensity 53.2, hkl 0 2 2; 51.95°, intensity 52.1, hkl 4 2 0; 55.32°, intensity 56.9, hkl 3 2 2; 60.32°, intensity 11.7, hkl 3 3 1; 66.21°, intensity 16.5, hkl 0 4 0

Atomic structure:
Unit cell a=9.005 b=5.646 c=5.647 alpha=90.00 beta=90.00 gamma=90.00
Fractional positions:
Pm: 0.131 0.000 0.250
Pm: 0.131 0.500 0.750
Pm: 0.869 0.000 0.750
Pm: 0.869 0.500 0.250
Ag: 0.498 0.250 0.000
Ag: 0.498 0.250 0.500
Ag: 0.502 0.750 0.000
Ag: 0.502 0.750 0.500
S: 0.300 0.501 0.250
S: 0.300 0.999 0.750
S: 0.700 0.001 0.250
S: 0.700 0.499 0.750
O: 0.000 0.250 0.000
O: 0.000 0.250 0.500
O: 0.000 0.750 0.000
O: 0.000 0.750 0.500



Entry 2:
Computed X-ray powder pattern
Compound: PmAgSO
Radiation: Cu Kα
Structure: a DFT-relaxed cell (PBE, OQMD)
Neutral-atom scattering factors, no anomalous dispersion.

Largest 12 diffraction maxima, by angle, 2θ = 5–70°:
8.01°, intensity 68.1, hkl 0 0 1; 21.72°, intensity 38.9, hkl 1 1 0; 23.38°, intensity 28.3, hkl 1 1 1; 26.79°, intensity 100.0, hkl 1 1 -2; 27.46°, intensity 89.1, hkl 1 1 2; 31.96°, intensity 41.7, hkl 0 2 1; 32.30°, intensity 72.0, hkl 1 1 -3; 33.16°, intensity 57.0, hkl 1 1 3; 40.88°, intensity 37.4, hkl 0 0 5; 44.27°, intensity 64.0, hkl 2 2 0; 45.41°, intensity 27.6, hkl 0 2 4; 62.66°, intensity 26.4, hkl 2 2 5

Atomic structure:
Unit cell a=5.787 b=5.790 c=11.043 alpha=90.00 beta=92.04 gamma=90.00
Fractional positions:
Pm: 0.005 0.000 0.102
Pm: 0.494 0.001 0.897
Pm: 0.506 0.501 0.103
Pm: 0.995 0.500 0.898
Ag: 0.193 0.274 0.497
Ag: 0.499 0.020 0.300
Ag: 0.501 0.520 0.700
Ag: 0.807 0.774 0.503
S: 0.207 0.307 0.284
S: 0.211 0.234 0.710
S: 0.789 0.734 0.290
S: 0.793 0.807 0.716
O: 0.250 0.750 0.000
O: 0.252 0.249 0.000
O: 0.748 0.749 0.000
O: 0.750 0.250 0.000



Repeat the second record exactly.
Computed X-ray powder pattern
Compound: PmAgSO
Radiation: Cu Kα
Structure: a DFT-relaxed cell (PBE, OQMD)
Neutral-atom scattering factors, no anomalous dispersion.

Largest 12 diffraction maxima, by angle, 2θ = 5–70°:
8.01°, intensity 68.1, hkl 0 0 1; 21.72°, intensity 38.9, hkl 1 1 0; 23.38°, intensity 28.3, hkl 1 1 1; 26.79°, intensity 100.0, hkl 1 1 -2; 27.46°, intensity 89.1, hkl 1 1 2; 31.96°, intensity 41.7, hkl 0 2 1; 32.30°, intensity 72.0, hkl 1 1 -3; 33.16°, intensity 57.0, hkl 1 1 3; 40.88°, intensity 37.4, hkl 0 0 5; 44.27°, intensity 64.0, hkl 2 2 0; 45.41°, intensity 27.6, hkl 0 2 4; 62.66°, intensity 26.4, hkl 2 2 5

Atomic structure:
Unit cell a=5.787 b=5.790 c=11.043 alpha=90.00 beta=92.04 gamma=90.00
Fractional positions:
Pm: 0.005 0.000 0.102
Pm: 0.494 0.001 0.897
Pm: 0.506 0.501 0.103
Pm: 0.995 0.500 0.898
Ag: 0.193 0.274 0.497
Ag: 0.499 0.020 0.300
Ag: 0.501 0.520 0.700
Ag: 0.807 0.774 0.503
S: 0.207 0.307 0.284
S: 0.211 0.234 0.710
S: 0.789 0.734 0.290
S: 0.793 0.807 0.716
O: 0.250 0.750 0.000
O: 0.252 0.249 0.000
O: 0.748 0.749 0.000
O: 0.750 0.250 0.000